Theoretical X-ray powder pattern of Mn2Cu3Au2 for a wavelength of 1.5418 Å, from a PBE-relaxed structure.

Main lines, low angle first (2θ from 10° to 90°):
28.0°, intensity 39
38.8°, intensity 21
41.1°, intensity 100
41.9°, intensity 85
44.1°, intensity 37
47.1°, intensity 26
53.5°, intensity 21
71.8°, intensity 17

Structure:
a b c (Å): 8.864 3.423 6.403
angles (deg): 90.00 101.85 90.00
Sites, in units of the cell vectors:
Mn1 0.178 0.000 0.447
Mn2 0.322 0.500 0.553
Mn3 0.678 0.500 0.447
Mn4 0.822 0.000 0.553
Cu1 0.000 0.000 0.000
Cu2 0.207 0.500 0.139
Cu3 0.293 0.000 0.861
Cu4 0.500 0.500 0.000
Cu5 0.707 0.000 0.139
Cu6 0.793 0.500 0.861
Au1 0.066 0.500 0.719
Au2 0.434 0.000 0.281
Au3 0.566 0.000 0.719
Au4 0.934 0.500 0.281

Theoretical X-ray powder pattern of Dy5TmRu6 for a wavelength of 1.5418 Å, from a PBE-relaxed structure.

Main lines, low angle first (2θ from 10° to 90°):
26.3°, intensity 7
37.4°, intensity 20
37.6°, intensity 100
54.1°, intensity 14
54.2°, intensity 7
67.5°, intensity 7
67.6°, intensity 11
67.8°, intensity 24

Structure:
a b c (Å): 8.287 8.287 4.811
angles (deg): 106.82 106.82 119.94
Sites, in units of the cell vectors:
Dy1 0.000 0.000 0.000
Dy2 0.167 0.833 0.500
Dy3 0.334 0.666 0.000
Dy4 0.666 0.334 0.000
Dy5 0.833 0.167 0.500
Tm1 0.500 0.500 0.500
Ru1 0.084 0.417 0.251
Ru2 0.251 0.251 0.752
Ru3 0.417 0.084 0.251
Ru4 0.583 0.916 0.749
Ru5 0.749 0.749 0.248
Ru6 0.916 0.583 0.749

Theoretical X-ray powder pattern of Cs2Ga2Br for a wavelength of 1.5418 Å, from a PBE-relaxed structure.

Main lines, low angle first (2θ from 10° to 90°):
24.1°, intensity 100
27.0°, intensity 61
32.1°, intensity 18
34.4°, intensity 40
42.0°, intensity 17
44.3°, intensity 31
49.4°, intensity 19
55.7°, intensity 23

Structure:
a b c (Å): 7.374 7.374 8.528
angles (deg): 90.00 90.00 90.00
Sites, in units of the cell vectors:
Cs1 0.000 0.500 0.250
Cs2 0.000 0.500 0.750
Cs3 0.500 0.000 0.250
Cs4 0.500 0.000 0.750
Ga1 0.000 0.000 0.142
Ga2 0.000 0.000 0.858
Ga3 0.500 0.500 0.358
Ga4 0.500 0.500 0.642
Br1 0.000 0.000 0.500
Br2 0.500 0.500 0.000

Theoretical X-ray powder pattern of BeNbV for a wavelength of 1.5418 Å, from a PBE-relaxed structure.

Main lines, low angle first (2θ from 10° to 90°):
23.1°, intensity 70
35.7°, intensity 58
36.8°, intensity 100
42.7°, intensity 49
43.0°, intensity 38
45.1°, intensity 83
64.9°, intensity 21
78.4°, intensity 25

Structure:
a b c (Å): 4.625 5.026 6.995
angles (deg): 90.00 90.00 90.00
Sites, in units of the cell vectors:
Be1 0.000 0.000 0.000
Be2 0.000 0.500 0.000
Be3 0.500 0.000 0.500
Be4 0.500 0.500 0.500
Nb1 0.000 0.250 0.375
Nb2 0.000 0.750 0.625
Nb3 0.500 0.250 0.125
Nb4 0.500 0.750 0.875
V1 0.250 0.250 0.750
V2 0.250 0.750 0.250
V3 0.750 0.250 0.750
V4 0.750 0.750 0.250